# 1
Structure and computed XRD peak list of BaSmEuVO6 (a PBE+U-relaxed structure; CuKα).
Kinematic intensities with the Lorentz-polarization factor, no thermal factor.

Structure:
Lattice parameters (Å, degrees): 8.4204 8.4770 8.5499 90.00 90.00 90.00
Space group Pnnn (No. 48, origin choice 2)
Inequivalent atoms, fractional coordinates:
Ba (0.2500, 0.2500, 0.2500) [2 per cell]
Ba (0.2500, 0.7500, 0.2500) [2 per cell]
Sm (0.0000, 0.0000, 0.0000) [4 per cell]
Eu (0.2500, 0.2500, 0.7500) [2 per cell]
Eu (0.2500, 0.7500, 0.7500) [2 per cell]
V (0.0000, 0.0000, 0.5000) [4 per cell]
O (0.0309, 0.0315, 0.7291) [8 per cell]
O (0.0323, 0.7287, 0.9705) [8 per cell]
O (0.2265, 0.0248, 0.4756) [8 per cell]

The 10 most intense peaks (2θ = 10–90°), in order of falling intensity:
2θ (°), I (rel.)
29.7, 100
29.8, 98
29.9, 97
52.7, 42
53.1, 41
52.9, 41
42.3, 29
42.7, 28
43.0, 27
85.9, 22


# 2
Structure and computed XRD peak list of Li5Co3Sn2O10 (a PBE+U-relaxed structure; CuKα).
Kinematic intensities with the Lorentz-polarization factor, no thermal factor.

Structure:
Lattice parameters (Å, degrees): 5.2664 5.2732 8.0187 107.78 101.88 100.79
Space group P-1 (No. 2)
Inequivalent atoms, fractional coordinates:
Li (0.0000, 0.0000, 0.0000) [1 per cell]
Li (0.0827, 0.2074, 0.7029) [2 per cell]
Li (0.2781, 0.5848, 0.0989) [2 per cell]
Co (0.2029, 0.3986, 0.3992) [2 per cell]
Co (0.5000, 0.0000, 0.5000) [1 per cell]
Sn (0.3926, 0.7929, 0.8014) [2 per cell]
O (0.0414, 0.6095, 0.8389) [2 per cell]
O (0.1759, 0.8034, 0.5493) [2 per cell]
O (0.2846, 0.0144, 0.2770) [2 per cell]
O (0.3575, 0.1851, 0.9538) [2 per cell]
O (0.4408, 0.4109, 0.6486) [2 per cell]

The 10 most intense peaks (2θ = 10–90°), in order of falling intensity:
2θ (°), I (rel.)
18.0, 100
17.9, 54
41.4, 51
41.8, 49
42.6, 46
35.9, 37
21.9, 34
34.7, 30
60.7, 29
25.4, 25